[1]
LaMnO3: computed PXRD pattern (λ = 1.5418 Å (Cu Kα)), based on a cell relaxed with PBE+U.
Neutral-atom scattering factors, no anomalous dispersion.

Top 9 peaks for 10 to 80 degrees two-theta, by intensity:
(hkl), 2θ (°), intensity
1 1 0, 32.1, 100
2 1 1, 57.2, 38
2 0 0, 46.0, 33
1 1 1, 39.6, 20
2 2 0, 67.1, 19
3 1 0, 76.3, 16
1 0 0, 22.5, 15
2 1 0, 51.8, 8
3 0 0, 71.8, 4

Crystal structure
```
5
Lattice="3.9444 0.0000 0.0000 0.0000 3.9444 0.0000 0.0000 0.0000 3.9444" Properties=species:S:1:pos:R:3 pbc="T T T"
La 0.0000 0.0000 0.0000
Mn 1.9722 1.9722 1.9722
O 0.0000 1.9722 1.9722
O 1.9722 0.0000 1.9722
O 1.9722 1.9722 0.0000
```



[2]
LaMnO3: computed PXRD pattern (λ = 1.5418 Å (Cu Kα)), based on a cell relaxed with PBE+U.
Neutral-atom scattering factors, no anomalous dispersion.

Top 10 peaks for 10 to 80 degrees two-theta, by intensity:
(hkl), 2θ (°), intensity
1 0 0, 16.6, 100
0 3 1, 30.4, 54
2 3 -1, 41.6, 45
0 0 2, 31.4, 43
1 3 -1, 32.1, 43
1 1 -1, 20.5, 27
2 3 1, 49.8, 21
2 0 0, 33.5, 17
0 3 3, 55.2, 16
1 0 2, 40.4, 14

Crystal structure
```
20
Lattice="5.6744 0.0000 0.0000 0.0000 10.2979 0.0000 -1.9965 0.0000 5.7039" Properties=species:S:1:pos:R:3 pbc="T T T"
La 0.1575 1.7273 0.0108
La -0.8407 3.4216 2.8627
La 4.5187 6.8762 2.8412
La 3.5204 8.5706 5.6931
Mn -0.9982 0.0000 2.8519
Mn 0.0000 5.1489 0.0000
Mn 1.8390 0.0000 2.8519
Mn 2.8372 5.1489 0.0000
O 0.2472 5.2074 2.0091
O -0.7510 10.2393 4.8610
O -0.5871 6.4516 5.3301
O 0.4111 8.9952 2.4782
O 0.6306 1.4566 2.3955
O -0.3676 3.6923 5.2475
O 4.0455 6.6055 0.4564
O 3.0473 8.8413 3.3084
O 3.2668 1.3026 3.2257
O 4.2651 3.8463 0.3737
O 4.4290 0.0585 0.8428
O 3.4307 5.0904 3.6948
```